Entry 1:
Structure and theoretical powder X-ray diffraction pattern of CaAgRh (a DFT-relaxed cell (GGA-PBE, Alexandria); Cu Kα (weighted mean of Kα1 and Kα2)).
Lines closer than 0.1° are merged.

Crystal structure
```
data_CaAgRh
_space_group_name_H-M_alt 'I m m a'
_space_group_IT_number 74
_space_group_name_Hall '-I 2b 2'
_cell_length_a 5.492
_cell_length_b 5.528
_cell_length_c 7.870
_cell_angle_alpha 90.00
_cell_angle_beta 90.00
_cell_angle_gamma 90.00
loop_
_atom_site_label
_atom_site_type_symbol
_atom_site_fract_x
_atom_site_fract_y
_atom_site_fract_z
Ca1 Ca 0.000 0.250 0.117
Ag1 Ag 0.000 0.000 0.500
Rh1 Rh 0.250 0.250 0.750
```

Main lines, in order of rising 2θ (2θ from 15° to 90°):
h k l  2theta  I_rel
1 0 1  19.7  100.0
0 1 3  38.0  57.3
1 2 1  38.2  60.6
2 1 1  38.3  52.2
0 2 2  39.9  59.8
2 0 2  40.0  63.5

Entry 2:
Structure and theoretical powder X-ray diffraction pattern of Ca3AgRh (a DFT-relaxed cell (GGA-PBE, Alexandria); Cu Kα (weighted mean of Kα1 and Kα2)).
Lines closer than 0.1° are merged.

Crystal structure
```
data_Ca3AgRh
_space_group_name_H-M_alt 'F m m m'
_space_group_IT_number 69
_space_group_name_Hall '-F 2 2'
_cell_length_a 6.542
_cell_length_b 9.968
_cell_length_c 16.112
_cell_angle_alpha 90.00
_cell_angle_beta 90.00
_cell_angle_gamma 90.00
loop_
_atom_site_label
_atom_site_type_symbol
_atom_site_fract_x
_atom_site_fract_y
_atom_site_fract_z
Ca1 Ca 0.000 0.000 0.195
Ca2 Ca 0.000 0.184 0.391
Ag1 Ag 0.208 0.000 0.000
Rh1 Rh 0.250 0.250 0.250
```

Main lines, in order of rising 2θ (2θ from 15° to 90°):
h k l  2theta  I_rel
0 2 2  21.0  86.3
0 0 4  22.1  27.4
1 3 1  30.7  25.1
2 2 2  34.6  100.0
2 0 4  35.3  55.8
0 2 6  38.1  44.8

Entry 3:
Structure and theoretical powder X-ray diffraction pattern of CaAg2Rh (a DFT-relaxed cell (GGA-PBE, Alexandria); Cu Kα (weighted mean of Kα1 and Kα2)).
Lines closer than 0.1° are merged.

Crystal structure
```
data_CaAg2Rh
_space_group_name_H-M_alt 'P 4 m m'
_space_group_IT_number 99
_cell_length_a 3.508
_cell_length_b 3.508
_cell_length_c 6.329
_cell_angle_alpha 90.00
_cell_angle_beta 90.00
_cell_angle_gamma 90.00
loop_
_space_group_symop_operation_xyz
'x,y,z'
'-y,x,z'
'-x,-y,z'
'y,-x,z'
'-x,y,z'
'y,x,z'
'x,-y,z'
'-y,-x,z'
loop_
_atom_site_label
_atom_site_type_symbol
_atom_site_fract_x
_atom_site_fract_y
_atom_site_fract_z
Ca1 Ca 0.000 0.000 0.000
Ag1 Ag 0.000 0.000 0.474
Ag2 Ag 0.500 0.500 0.697
Rh1 Rh 0.500 0.500 0.243
```

Main lines, in order of rising 2θ (2θ from 15° to 90°):
h k l  2theta  I_rel
1 1 0  36.2  62.5
1 0 2  38.3  100.0
1 0 3  50.5  9.6
2 0 0  52.1  21.0
2 1 2  66.5  36.5
1 1 4  70.6  12.5

Entry 4:
Structure and theoretical powder X-ray diffraction pattern of CaSmAgRh (a DFT-relaxed cell (GGA-PBE, Alexandria); Cu Kα (weighted mean of Kα1 and Kα2)).
Lines closer than 0.1° are merged.

Crystal structure
```
data_CaSmAgRh
_space_group_name_H-M_alt 'F -4 3 m'
_space_group_IT_number 216
_space_group_name_Hall 'F -4 2 3'
_cell_length_a 7.139
_cell_length_b 7.139
_cell_length_c 7.139
_cell_angle_alpha 90.00
_cell_angle_beta 90.00
_cell_angle_gamma 90.00
loop_
_atom_site_label
_atom_site_type_symbol
_atom_site_fract_x
_atom_site_fract_y
_atom_site_fract_z
Ca1 Ca 0.000 0.000 0.000
Sm1 Sm 0.000 0.000 0.500
Ag1 Ag 0.250 0.250 0.750
Rh1 Rh 0.250 0.250 0.250
```

Main lines, in order of rising 2θ (2θ from 15° to 90°):
h k l  2theta  I_rel
1 1 1  21.6  15.8
2 2 0  35.6  100.0
4 0 0  51.2  17.2
4 2 2  63.9  34.7
4 4 0  75.3  10.6
6 2 0  86.2  15.2

Entry 5:
Structure and theoretical powder X-ray diffraction pattern of CaAg4Ru (a DFT-relaxed cell (GGA-PBE, Alexandria); Cu Kα (weighted mean of Kα1 and Kα2)).
Lines closer than 0.1° are merged.

Crystal structure
```
data_CaAg4Ru
_space_group_name_H-M_alt 'F -4 3 m'
_space_group_IT_number 216
_space_group_name_Hall 'F -4 2 3'
_cell_length_a 7.747
_cell_length_b 7.747
_cell_length_c 7.747
_cell_angle_alpha 90.00
_cell_angle_beta 90.00
_cell_angle_gamma 90.00
loop_
_atom_site_label
_atom_site_type_symbol
_atom_site_fract_x
_atom_site_fract_y
_atom_site_fract_z
Ca1 Ca 0.000 0.000 0.000
Ag1 Ag 0.125 0.125 0.375
Ru1 Ru 0.250 0.250 0.750
```

Main lines, in order of rising 2θ (2θ from 15° to 90°):
h k l  2theta  I_rel
1 1 1  19.8  27.8
3 1 1  38.5  100.0
2 2 2  40.3  55.2
3 3 3  62.3  30.4
4 4 0  68.5  27.4
6 2 2  82.6  19.2

Entry 6:
Structure and theoretical powder X-ray diffraction pattern of Ca2AgS2 (a DFT-relaxed cell (GGA-PBE, Alexandria); Cu Kα (weighted mean of Kα1 and Kα2)).
Lines closer than 0.1° are merged.

Crystal structure
```
data_Ca2AgS2
_space_group_name_H-M_alt 'P 4/m b m'
_space_group_IT_number 127
_space_group_name_Hall '-P 4 2ab'
_cell_length_a 7.692
_cell_length_b 7.692
_cell_length_c 3.670
_cell_angle_alpha 90.00
_cell_angle_beta 90.00
_cell_angle_gamma 90.00
loop_
_atom_site_label
_atom_site_type_symbol
_atom_site_fract_x
_atom_site_fract_y
_atom_site_fract_z
Ca1 Ca 0.156 0.344 0.000
Ag1 Ag 0.000 0.000 0.500
S1 S 0.154 0.654 0.500
```

Main lines, in order of rising 2θ (2θ from 15° to 90°):
h k l  2theta  I_rel
1 1 0  16.3  38.3
1 1 1  29.4  68.5
2 0 1  33.8  49.3
2 1 1  35.8  77.0
3 1 0  37.0  100.0
3 1 2  63.5  36.7

> Which formula does entry 3 have?

CaAg2Rh